# NdSmO2
Simulated powder diffractogram, Cu Kα X-rays. Input: the GGA-PBE geometry in the Materials Project.
Kinematic intensities with the Lorentz-polarization factor, no thermal factor.

Largest 6 diffraction maxima, in order of rising 2θ, 2θ = 15–90°:
Position (°2θ), Rel. int., (hkl)
30.96, 100, 1 1 2
35.90, 80, 2 0 0
51.68, 55, 2 2 0
61.47, 45, 3 1 2
84.39, 19, 3 3 2
87.12, 24, 4 2 0

Structural model:
a b c (Å): 5.003 5.003 10.007
angles (deg): 90.00 90.00 90.00
Space group I4_1/amd (No. 141, origin choice 2)
Asymmetric unit:
Nd 0.000 0.250 0.375
Sm 0.000 0.250 0.875
O 0.000 0.250 0.122